# ErTm2Cu4Ge4
Calculated powder diffractogram, Cu Ka. Input: a PBE-relaxed structure.

Structural model:
a = 4.162 Å, b = 6.630 Å, c = 13.813 Å
α = 90.00°, β = 90.00°, γ = 90.00°
Space group Immm (No. 71)
Symmetry-distinct sites (fractional):
Er  0.000  0.000  0.000 (multiplicity 2)
Tm  0.000  0.500  0.129 (multiplicity 4)
Cu  0.000  0.309  0.330 (multiplicity 8)
Ge  0.000  0.000  0.217 (multiplicity 4)
Ge  0.000  0.193  0.500 (multiplicity 4)

Principal peaks in the range 15° ≤ 2θ ≤ 90°, sorted by position:
d [Å]	2theta	Rel. int.	(hkl)
2.549	35.21	100	1 2 1
2.467	36.42	82	1 1 4
2.302	39.13	16	0 0 6
2.081	43.49	30	2 0 0
1.992	45.53	23	0 3 3
1.439	64.77	21	2 3 3

# YErCu2Ge2
Calculated powder diffractogram, Cu Ka. Input: a PBE-relaxed structure.

Structural model:
a = 4.2250 Å, b = 4.2250 Å, c = 7.3619 Å
α = 90.00°, β = 90.00°, γ = 120.00°
Space group P3m1 (No. 156)
Symmetry-distinct sites (fractional):
Y  0.0000  0.0000  0.0000 (multiplicity 1)
Er  0.0000  0.0000  0.5000 (multiplicity 1)
Cu  0.3333  0.6667  0.7306 (multiplicity 1)
Cu  0.6667  0.3333  0.2312 (multiplicity 1)
Ge  0.3333  0.6667  0.2658 (multiplicity 1)
Ge  0.6667  0.3333  0.7652 (multiplicity 1)

Principal peaks in the range 15° ≤ 2θ ≤ 90°, sorted by position:
d [Å]	2theta	Rel. int.	(hkl)
2.595	34.56	100	1 0 2
2.112	42.81	52	1 1 0
1.840	49.53	10	0 0 4
1.638	56.14	24	2 0 2
1.388	67.50	23	1 1 4
1.295	73.10	22	2 1 2